Entry 1:
Computed XRD peak list of Sr2Li3Cd12Au for Cu Kα X-rays, from a DFT-relaxed cell (GGA-PBE, Alexandria).
Neutral-atom scattering factors, no anomalous dispersion.

Peak list (10 most intense, 10 to 90 degrees two-theta, sorted by position)
12.66°, rel. 74
20.10°, rel. 91
23.82°, rel. 48
27.62°, rel. 100
30.08°, rel. 56
35.27°, rel. 37
38.04°, rel. 74
40.24°, rel. 44
40.85°, rel. 37
41.95°, rel. 67

Atomic structure:
```
18
Lattice="4.731 2.732 6.994 -4.731 2.732 6.994 0.000 -5.463 6.994" Properties=species:S:1:pos:R:3 pbc="T T T"
Sr 0.000 0.000 2.011
Sr 0.000 0.000 18.971
Li -2.366 -1.366 6.994
Li -2.366 1.366 13.988
Li 0.000 2.732 6.994
Cd -2.337 -1.349 9.879
Cd 0.000 -2.013 5.616
Cd -1.743 1.007 5.616
Cd 0.000 -2.698 11.103
Cd -2.337 1.349 11.103
Cd -1.743 -1.007 15.367
Cd 1.743 1.007 5.616
Cd 2.337 -1.349 9.879
Cd 0.000 2.698 9.879
Cd 1.743 -1.007 15.367
Cd 0.000 2.013 15.367
Cd 2.337 1.349 11.103
Au 0.000 0.000 10.491
```

---

Entry 2:
Computed XRD peak list of CsRbHgAu2 for Cu Kα X-rays, from a DFT-relaxed cell (GGA-PBE, Alexandria).
Neutral-atom scattering factors, no anomalous dispersion.

Peak list (10 most intense, 10 to 90 degrees two-theta, sorted by position)
10.31°, rel. 50
18.62°, rel. 42
23.76°, rel. 30
27.56°, rel. 100
31.75°, rel. 72
36.23°, rel. 29
36.50°, rel. 28
41.12°, rel. 37
48.95°, rel. 24
55.94°, rel. 24

Atomic structure:
```
5
Lattice="-2.462 2.480 8.580 2.462 -2.480 8.580 2.462 2.480 -8.580" Properties=species:S:1:pos:R:3 pbc="T T T"
Cs 0.000 0.000 0.000
Rb 2.462 0.000 3.778
Hg 0.000 0.000 6.855
Au 0.000 0.000 9.781
Au 0.000 2.480 2.604
```

---

Entry 3:
Computed XRD peak list of Sm4NiSn for Cu Kα X-rays, from a DFT-relaxed cell (GGA-PBE, Alexandria).
Neutral-atom scattering factors, no anomalous dispersion.

Peak list (10 most intense, 10 to 90 degrees two-theta, sorted by position)
29.08°, rel. 46
30.19°, rel. 37
30.89°, rel. 100
31.40°, rel. 56
31.87°, rel. 46
32.55°, rel. 85
33.18°, rel. 52
33.40°, rel. 89
52.54°, rel. 27
63.19°, rel. 25

Atomic structure:
```
12
Lattice="5.743 0.000 0.000 0.000 6.967 0.000 -1.810 0.000 8.412" Properties=species:S:1:pos:R:3 pbc="T T T"
Sm 0.599 1.742 0.459
Sm 0.546 5.225 3.133
Sm 0.591 3.532 6.522
Sm 0.591 6.917 6.522
Sm 3.342 0.049 1.890
Sm 3.342 3.434 1.890
Sm 3.387 1.742 5.279
Sm 3.334 5.225 7.953
Ni 1.904 5.225 0.431
Ni 2.029 1.742 7.981
Sn 0.516 1.742 3.608
Sn 3.417 5.225 4.804
```

---

Entry 4:
Computed XRD peak list of MgMnRu2 for Cu Kα X-rays, from a DFT-relaxed cell (GGA-PBE, Alexandria).
Neutral-atom scattering factors, no anomalous dispersion.

Peak list (10 most intense, 10 to 90 degrees two-theta, sorted by position)
11.28°, rel. 91
39.51°, rel. 100
45.77°, rel. 35
46.30°, rel. 13
47.30°, rel. 10
47.56°, rel. 20
66.74°, rel. 11
67.15°, rel. 16
80.42°, rel. 23
85.08°, rel. 8

Atomic structure:
```
4
Lattice="2.803 0.000 0.000 0.000 2.803 0.000 0.000 0.000 7.843" Properties=species:S:1:pos:R:3 pbc="T T T"
Mg 0.000 0.000 0.000
Mn 1.402 1.402 2.281
Ru 0.000 0.000 4.145
Ru 1.402 1.402 5.821
```

---

Entry 5:
Computed XRD peak list of Ho2Ni2Ag3 for Cu Kα X-rays, from a DFT-relaxed cell (GGA-PBE, Alexandria).
Neutral-atom scattering factors, no anomalous dispersion.

Peak list (10 most intense, 10 to 90 degrees two-theta, sorted by position)
32.74°, rel. 18
34.57°, rel. 100
37.04°, rel. 25
37.53°, rel. 69
40.05°, rel. 54
47.16°, rel. 25
51.23°, rel. 19
61.77°, rel. 31
66.94°, rel. 22
72.17°, rel. 13

Atomic structure:
```
7
Lattice="1.927 -9.709 0.000 1.927 9.709 0.000 0.000 0.000 3.567" Properties=species:S:1:pos:R:3 pbc="T T T"
Ho 1.927 6.505 0.000
Ho 1.927 -6.505 0.000
Ni 1.927 4.149 1.783
Ni 1.927 -4.149 1.783
Ag 0.000 0.000 0.000
Ag 1.927 1.406 1.783
Ag 1.927 -1.406 1.783
```

---

Entry 6:
Computed XRD peak list of Nd4SeS5 for Cu Kα X-rays, from a DFT-relaxed cell (GGA-PBE, Alexandria).
Neutral-atom scattering factors, no anomalous dispersion.

Peak list (10 most intense, 10 to 90 degrees two-theta, sorted by position)
21.43°, rel. 59
23.81°, rel. 41
25.08°, rel. 40
31.48°, rel. 100
32.25°, rel. 19
32.39°, rel. 20
41.49°, rel. 88
42.56°, rel. 26
43.74°, rel. 22
46.21°, rel. 21

Atomic structure:
```
10
Lattice="-2.124 3.929 8.292 2.124 -3.929 8.292 2.124 3.929 -8.292" Properties=species:S:1:pos:R:3 pbc="T T T"
Nd 0.000 0.000 3.519
Nd 2.124 2.055 0.000
Nd 0.000 1.874 8.292
Nd 0.000 0.000 13.064
Se 0.000 0.000 0.000
S 2.124 1.821 -2.773
S 2.124 1.821 2.773
S 0.000 3.929 0.000
S 0.000 2.108 5.518
S 0.000 2.108 11.065
```